Structure and calculated PXRD pattern of Er2MgSe4 (a cell relaxed with PBE; Cu Kα (weighted mean of Kα1 and Kα2)).

Cell lengths 11.627, 11.627, 11.627 Å; angles 90.00, 90.00, 90.00 degrees
Space group Fd-3m (No. 227, origin choice 2)
Inequivalent atoms, fractional coordinates:
Er 0.000 0.000 0.000 [16 per cell]
Mg 0.125 0.125 0.625 [8 per cell]
Se 0.005 0.005 0.245 [32 per cell]

Largest 10 diffraction maxima, most intense first, 2θ = 10–80°:
(4 0 0), 30.8°, I = 100; (4 4 0), 44.1°, I = 86; (1 1 1), 13.2°, I = 66; (3 1 1), 25.4°, I = 54; (8 4 0), 72.7°, I = 32; (5 1 1), 40.3°, I = 27; (4 4 4), 54.7°, I = 26; (5 3 1), 46.2°, I = 18; (8 0 0), 64.1°, I = 14; (5 5 3), 61.2°, I = 13

Structure and calculated PXRD pattern of SiO2 (a cell relaxed with PBE; Cu Kα (weighted mean of Kα1 and Kα2)).

Cell lengths 16.047, 9.539, 8.629 Å; angles 90.00, 90.00, 90.00 degrees
Space group Cmcm (No. 63)
Inequivalent atoms, fractional coordinates:
Si 0.000 0.160 0.063 [8 per cell]
Si 0.172 0.160 0.563 [16 per cell]
O 0.000 0.000 0.000 [4 per cell]
O 0.000 0.165 0.250 [4 per cell]
O 0.085 0.233 0.501 [16 per cell]
O 0.172 0.160 0.750 [8 per cell]
O 0.181 0.000 0.000 [8 per cell]
O 0.250 0.250 0.000 [8 per cell]

Largest 10 diffraction maxima, most intense first, 2θ = 10–80°:
(1 1 0), 10.8°, I = 100; (0 0 2), 20.6°, I = 41; (3 1 1), 21.7°, I = 28; (0 2 0), 18.6°, I = 23; (2 2 1), 24.0°, I = 12; (1 3 0), 28.6°, I = 11; (5 1 0), 29.4°, I = 10; (1 1 2), 23.3°, I = 9; (3 1 0), 19.0°, I = 6; (6 0 0), 33.5°, I = 6